Entry 1:
# Sr2LiV2Si4O14
Simulated powder diffractogram, Cu Kα. Input: DFT lattice parameters and positions (GGA+U).

Crystal structure
a b c (Å): 7.8696 7.8696 7.1934
angles (deg): 91.56 91.56 40.67
Atoms (fractional coordinates):
Sr 0.1982 0.1982 0.2577
Sr 0.8018 0.8018 0.7423
Li 0.8785 0.1215 0.0000
V 0.1186 0.1042 0.7403
V 0.8958 0.8814 0.2597
Si 0.3838 0.3964 0.9752
Si 0.3943 0.3891 0.5258
Si 0.6036 0.6162 0.0248
Si 0.6109 0.6057 0.4742
O 0.0088 0.0027 0.2437
O 0.0969 0.5896 0.0619
O 0.1015 0.5865 0.4414
O 0.3583 0.3668 0.7489
O 0.4104 0.9031 0.9381
O 0.4135 0.8985 0.5586
O 0.4933 0.5067 0.0000
O 0.5007 0.4993 0.5000
O 0.5984 0.0942 0.4411
O 0.6155 0.0991 0.0512
O 0.6332 0.6417 0.2511
O 0.9009 0.3845 0.9488
O 0.9058 0.4016 0.5589
O 0.9973 0.9912 0.7563

Principal peaks in the range 10 to 90 degrees two-theta, low angle first:
2θ/deg	d_spacing	I/Imax
24.13	3.688	63
27.12	3.288	75
27.60	3.231	94
30.21	2.958	100
30.51	2.930	85
32.74	2.735	71
34.57	2.595	71
41.48	2.177	54
45.73	1.984	34
50.79	1.798	34

***

Entry 2:
# Sr2LiV2Si4O14
Simulated powder diffractogram, Cu Kα. Input: DFT lattice parameters and positions (GGA+U).

Crystal structure
a b c (Å): 5.4949 7.2174 7.7772
angles (deg): 90.00 109.28 90.00
Atoms (fractional coordinates):
Sr 0.0000 0.0000 0.0000
Sr 0.3782 0.5000 0.7724
Li 0.5042 0.5000 0.3765
V 0.0553 0.5000 0.1661
V 0.3040 0.0000 0.6094
Si 0.5780 0.2241 0.1694
Si 0.5780 0.7759 0.1694
Si 0.8057 0.2712 0.6115
Si 0.8057 0.7288 0.6115
O 0.0937 0.1875 0.6981
O 0.0937 0.8125 0.6981
O 0.1907 0.0000 0.3855
O 0.1986 0.5000 0.4155
O 0.2908 0.3090 0.0932
O 0.2908 0.6910 0.0932
O 0.5514 0.0000 0.1252
O 0.5933 0.1859 0.6934
O 0.5933 0.8141 0.6934
O 0.6927 0.2651 0.3895
O 0.6927 0.7349 0.3895
O 0.7764 0.3023 0.0736
O 0.7764 0.6977 0.0736
O 0.8182 0.5000 0.6633

Principal peaks in the range 10 to 90 degrees two-theta, low angle first:
2θ/deg	d_spacing	I/Imax
24.25	3.671	77
27.09	3.292	68
27.26	3.272	55
27.61	3.231	97
30.17	2.962	100
30.33	2.947	100
32.60	2.747	71
41.32	2.185	55
43.46	2.082	43
45.06	2.012	41